Entry 1:
Starting from DFT lattice parameters and positions (GGA+U), the XRD peak list of LaMgMnO3 was calculated for Cu Kα.

Top 12 peaks for 2θ from 15° to 90°, in order of rising 2θ:
(hkl)  Position (°2θ)  Rel. int.
1 0 0  22.56  25
1 0 1  26.40  100
0 0 2  27.26  77
1 1 0  32.12  55
1 1 1  35.00  23
1 0 2  35.67  16
1 1 2  42.62  50
2 0 0  46.07  34
1 0 3  47.65  20
2 1 1  53.88  28
2 0 2  54.35  40
2 2 2  73.94  15

Crystal structure
```
data_LaMgMnO3
_symmetry_space_group_name_H-M 'P 4/m m m'
_symmetry_Int_Tables_number 123
_symmetry_space_group_name_Hall '-P 4 2'
_cell_length_a 3.941
_cell_length_b 3.941
_cell_length_c 6.543
_cell_angle_alpha 90.00
_cell_angle_beta 90.00
_cell_angle_gamma 90.00
loop_
_atom_site_label
_atom_site_type_symbol
_atom_site_fract_x
_atom_site_fract_y
_atom_site_fract_z
_atom_site_occupancy
La1 La 0.000 0.000 0.000 1
Mg1 Mg 0.000 0.000 0.500 1
Mn1 Mn 0.500 0.500 0.500 1
O1 O 0.000 0.500 0.500 1
O2 O 0.500 0.500 0.000 1
```



Entry 2:
Starting from DFT lattice parameters and positions (GGA+U), the XRD peak list of SiNi2O4 was calculated for Cu Kα.

Top 12 peaks for 2θ from 15° to 90°, in order of rising 2θ:
(hkl)  Position (°2θ)  Rel. int.
1 1 1  18.94  38
2 2 0  31.17  9
3 1 1  36.73  100
2 2 2  38.43  17
4 0 0  44.67  50
3 3 1  48.93  15
3 3 3  59.16  28
4 4 0  65.01  50
5 3 1  68.39  6
5 3 3  77.07  10
6 2 2  78.12  9
4 4 4  82.32  8

Crystal structure
a = 8.115 Å, b = 8.115 Å, c = 8.115 Å
α = 90.00°, β = 90.00°, γ = 90.00°
Space group Fd-3m (No. 227, origin choice 2)
One atom of each set of equivalent atoms:
Si (0.125, 0.125, 0.125) [8 per cell]
Ni (0.000, 0.000, 0.500) [16 per cell]
O (0.006, 0.006, 0.244) [32 per cell]



Entry 3:
Starting from DFT lattice parameters and positions (GGA+U), the XRD peak list of CaWO4 was calculated for Cu Kα.

Top 12 peaks for 2θ from 15° to 90°, in order of rising 2θ:
(hkl)  Position (°2θ)  Rel. int.
1 1 0  18.13  66
1 1 -1  18.52  46
0 2 1  27.90  97
2 2 -1  28.76  100
1 3 -1  28.99  28
0 4 0  31.46  22
2 0 0  33.06  20
2 0 -2  33.94  18
2 4 0  46.28  28
0 0 2  46.96  41
2 2 1  55.46  22
4 4 -2  59.55  14

Crystal structure
```
data_CaWO4
_symmetry_space_group_name_H-M 'C 1 2/c 1'
_symmetry_Int_Tables_number 15
_symmetry_space_group_name_Hall '-C 2yc'
_cell_length_a 7.412
_cell_length_b 11.374
_cell_length_c 5.288
_cell_angle_alpha 90.00
_cell_angle_beta 133.01
_cell_angle_gamma 90.00
loop_
_atom_site_label
_atom_site_type_symbol
_atom_site_fract_x
_atom_site_fract_y
_atom_site_fract_z
_atom_site_occupancy
Ca1 Ca 0.000 0.128 0.250 1
W1 W 0.000 0.384 0.750 1
O1 O 0.149 0.290 0.658 1
O2 O 0.240 0.467 0.149 1
```